(1)
Starting from a structure optimized by DFT (GGA-PBE), the XRD peak list of RbCd2HgCl8 was computed for a wavelength of 1.5418 Å.
No peak broadening, texture or thermal motion is included.

Structural model:
```
data_RbCd2HgCl8
_cell_length_a 6.360
_cell_length_b 6.906
_cell_length_c 8.172
_cell_angle_alpha 89.21
_cell_angle_beta 88.99
_cell_angle_gamma 84.32
_space_group_name_H-M_alt 'P -1'
_space_group_IT_number 2
_space_group_name_Hall '-P 1'
loop_
_atom_site_label
_atom_site_type_symbol
_atom_site_fract_x
_atom_site_fract_y
_atom_site_fract_z
Rb1 Rb 0.000 0.000 0.000
Cd1 Cd 0.499 0.502 0.257
Hg1 Hg 0.000 0.000 0.500
Cl1 Cl 0.261 0.382 0.499
Cl2 Cl 0.269 0.856 0.703
Cl3 Cl 0.276 0.862 0.291
Cl4 Cl 0.292 0.373 0.999
```

Main lines, in order of rising 2θ (10 to 80 degrees two-theta):
d [Å], two_theta, I/Imax, hkl
8.170, 10.83, 28.2, 0 0 1
4.902, 18.10, 100.0, 1 1 0
4.441, 19.99, 71.7, 1 -1 0
3.458, 25.76, 38.8, 1 0 2
3.436, 25.93, 36.1, 0 2 0
3.407, 26.16, 38.1, 1 0 -2
2.436, 36.90, 31.7, 2 1 2
2.388, 37.66, 31.1, 2 1 -2

(2)
Starting from a structure optimized by DFT (GGA-PBE), the XRD peak list of LiNbTe2O8 was computed for a wavelength of 1.5418 Å.
No peak broadening, texture or thermal motion is included.

Structural model:
```
data_LiNbTe2O8
_cell_length_a 6.698
_cell_length_b 6.897
_cell_length_c 6.499
_cell_angle_alpha 90.00
_cell_angle_beta 90.00
_cell_angle_gamma 90.00
_space_group_name_H-M_alt 'C m m m'
_space_group_IT_number 65
_space_group_name_Hall '-C 2 2'
loop_
_atom_site_label
_atom_site_type_symbol
_atom_site_fract_x
_atom_site_fract_y
_atom_site_fract_z
Li1 Li 0.000 0.000 0.000
Nb1 Nb 0.000 0.000 0.500
Te1 Te 0.000 0.500 0.242
O1 O 0.000 0.303 0.500
O2 O 0.000 0.315 0.000
O3 O 0.197 0.000 0.269
```

Main lines, in order of rising 2θ (10 to 80 degrees two-theta):
d [Å], two_theta, I/Imax, hkl
4.805, 18.47, 52.7, 1 1 0
3.864, 23.02, 33.8, 1 1 1
3.448, 25.84, 72.4, 0 2 0
3.349, 26.62, 65.7, 2 0 0
2.692, 33.29, 100.0, 1 1 2
1.807, 50.50, 48.5, 1 3 2
1.778, 51.39, 44.2, 3 1 2
1.437, 64.91, 29.3, 3 3 2

(3)
Starting from a structure optimized by DFT (GGA-PBE), the XRD peak list of RbCeInS4 was computed for a wavelength of 1.5418 Å.
No peak broadening, texture or thermal motion is included.

Structural model:
```
data_RbCeInS4
_cell_length_a 6.833
_cell_length_b 6.887
_cell_length_c 9.432
_cell_angle_alpha 90.00
_cell_angle_beta 110.13
_cell_angle_gamma 90.00
_space_group_name_H-M_alt 'P 1 21/m 1'
_space_group_IT_number 11
_space_group_name_Hall '-P 2yb'
loop_
_atom_site_label
_atom_site_type_symbol
_atom_site_fract_x
_atom_site_fract_y
_atom_site_fract_z
Rb1 Rb 0.224 0.250 0.449
Ce1 Ce 0.283 0.250 0.949
In1 In 0.262 0.750 0.163
S1 S 0.000 0.250 0.092
S2 S 0.050 0.750 0.323
S3 S 0.475 0.512 0.808
```

Main lines, in order of rising 2θ (10 to 80 degrees two-theta):
d [Å], two_theta, I/Imax, hkl
5.436, 16.30, 39.5, 0 1 1
3.724, 23.90, 61.4, 0 1 2
3.443, 25.87, 50.7, 0 2 0
3.208, 27.81, 21.1, 2 0 0
3.060, 29.18, 18.7, 2 1 -1
2.878, 31.07, 100.0, 1 1 2
2.347, 38.35, 32.4, 2 2 0
2.142, 42.19, 26.8, 2 1 2

(4)
Starting from a structure optimized by DFT (GGA-PBE), the XRD peak list of Sb2PdPt9 was computed for a wavelength of 1.5418 Å.
No peak broadening, texture or thermal motion is included.

Structural model:
```
data_Sb2PdPt9
_cell_length_a 4.016
_cell_length_b 4.016
_cell_length_c 12.308
_cell_angle_alpha 90.00
_cell_angle_beta 90.00
_cell_angle_gamma 90.00
_space_group_name_H-M_alt 'P 4/m m m'
_space_group_IT_number 123
_space_group_name_Hall '-P 4 2'
loop_
_atom_site_label
_atom_site_type_symbol
_atom_site_fract_x
_atom_site_fract_y
_atom_site_fract_z
Sb1 Sb 0.000 0.000 0.182
Pd1 Pd 0.000 0.000 0.500
Pt1 Pt 0.000 0.500 0.000
Pt2 Pt 0.000 0.500 0.338
Pt3 Pt 0.500 0.500 0.162
Pt4 Pt 0.500 0.500 0.500
```

Main lines, in order of rising 2θ (10 to 80 degrees two-theta):
d [Å], two_theta, I/Imax, hkl
4.016, 22.14, 2.3, 1 0 0
2.335, 38.56, 100.0, 1 1 3
2.051, 44.15, 16.4, 0 0 6
2.008, 45.16, 32.6, 2 0 0
1.435, 65.00, 21.2, 2 0 6
1.420, 65.78, 10.7, 2 2 0
1.232, 77.47, 12.0, 1 1 9
1.213, 78.92, 25.4, 3 1 3